Record 1
# PaH6RuRh
Simulated X-ray powder pattern, λ = 1.5418 Å (Cu Kα). Input: a cell relaxed with PBE.

Structural model:
```
data_PaH6RuRh
_symmetry_space_group_name_H-M 'P 1'
_symmetry_Int_Tables_number 1
_symmetry_space_group_name_Hall 'P 1'
_cell_length_a 4.5788
_cell_length_b 4.5788
_cell_length_c 4.2272
_cell_angle_alpha 90.00
_cell_angle_beta 90.00
_cell_angle_gamma 120.00
loop_
_atom_site_label
_atom_site_fract_x
_atom_site_fract_y
_atom_site_fract_z
Pa1 0.0000 0.0000 0.0000
H1 0.5042 0.0084 0.2116
H2 0.5042 0.0084 0.7884
H3 0.5042 0.4958 0.2116
H4 0.5042 0.4958 0.7884
H5 0.9916 0.4958 0.2116
H6 0.9916 0.4958 0.7884
Ru1 0.6667 0.3333 0.5000
Rh1 0.3333 0.6667 0.5000
```

Largest 11 diffraction maxima, in order of rising 2θ, 2θ = 5–70°:
- 2θ = 22.4°, intensity 13, (1 0 0)
- 2θ = 30.9°, intensity 100, (1 0 1)
- 2θ = 39.4°, intensity 45, (1 1 0)
- 2θ = 42.8°, intensity 12, (0 0 2)
- 2θ = 45.8°, intensity 3, (2 0 0)
- 2θ = 48.8°, intensity 4, (1 0 2)
- 2θ = 50.9°, intensity 26, (2 0 1)
- 2θ = 59.5°, intensity 27, (1 1 2)
- 2θ = 61.9°, intensity 2, (2 1 0)
- 2θ = 64.4°, intensity 2, (2 0 2)
- 2θ = 66.2°, intensity 23, (2 1 1)

---

Record 2
# PrP3H6O12
Simulated X-ray powder pattern, λ = 1.5418 Å (Cu Kα). Input: a cell relaxed with PBE.

Structural model:
```
data_PrP3H6O12
_symmetry_space_group_name_H-M 'P 1'
_symmetry_Int_Tables_number 1
_symmetry_space_group_name_Hall 'P 1'
_cell_length_a 6.7840
_cell_length_b 6.7840
_cell_length_c 6.1648
_cell_angle_alpha 90.00
_cell_angle_beta 90.00
_cell_angle_gamma 120.00
loop_
_atom_site_label
_atom_site_fract_x
_atom_site_fract_y
_atom_site_fract_z
Pr1 0.0000 0.0000 0.0000
P1 0.3870 0.2759 0.5000
P2 0.7241 0.1112 0.5000
P3 0.8888 0.6130 0.5000
H1 0.0404 0.4889 0.1252
H2 0.0404 0.4889 0.8748
H3 0.4484 0.9596 0.1252
H4 0.4484 0.9596 0.8748
H5 0.5111 0.5516 0.1252
H6 0.5111 0.5516 0.8748
O1 0.0379 0.3989 0.0000
O2 0.2688 0.2572 0.2894
O3 0.2688 0.2572 0.7106
O4 0.3610 0.9621 0.0000
O5 0.4792 0.0977 0.5000
O6 0.6011 0.6390 0.0000
O7 0.6185 0.5208 0.5000
O8 0.7428 0.0116 0.2894
O9 0.7428 0.0116 0.7106
O10 0.9023 0.3815 0.5000
O11 0.9884 0.7312 0.2894
O12 0.9884 0.7312 0.7106
```

Largest 12 diffraction maxima, in order of rising 2θ, 2θ = 5–70°:
- 2θ = 15.1°, intensity 90, (1 0 0)
- 2θ = 20.9°, intensity 100, (1 0 1)
- 2θ = 29.0°, intensity 19, (0 0 2)
- 2θ = 30.1°, intensity 59, (1 1 1)
- 2θ = 30.4°, intensity 18, (2 0 0)
- 2θ = 33.8°, intensity 39, (2 0 1)
- 2θ = 39.5°, intensity 14, (1 1 2)
- 2θ = 40.6°, intensity 22, (1 2 0)
- 2θ = 42.5°, intensity 23, (2 0 2)
- 2θ = 43.3°, intensity 20, (2 1 1)
- 2θ = 46.8°, intensity 15, (1 0 3)
- 2θ = 50.7°, intensity 29, (1 2 2)

---

Record 3
# Ca2Ga2NiPd5
Simulated X-ray powder pattern, λ = 1.5418 Å (Cu Kα). Input: a cell relaxed with PBE.

Structural model:
```
data_Ca2Ga2NiPd5
_symmetry_space_group_name_H-M 'P 1'
_symmetry_Int_Tables_number 1
_symmetry_space_group_name_Hall 'P 1'
_cell_length_a 9.8083
_cell_length_b 9.8083
_cell_length_c 3.6374
_cell_angle_alpha 90.00
_cell_angle_beta 90.00
_cell_angle_gamma 90.00
loop_
_atom_site_label
_atom_site_fract_x
_atom_site_fract_y
_atom_site_fract_z
Ca1 0.1745 0.3255 0.0000
Ca2 0.3255 0.8255 0.0000
Ca3 0.6745 0.1745 0.0000
Ca4 0.8255 0.6745 0.0000
Ga1 0.1263 0.6263 0.0000
Ga2 0.3737 0.1263 0.0000
Ga3 0.6263 0.8737 0.0000
Ga4 0.8737 0.3737 0.0000
Ni1 0.0000 0.0000 0.0000
Ni2 0.5000 0.5000 0.0000
Pd1 0.0000 0.5000 0.5000
Pd2 0.0635 0.8007 0.5000
Pd3 0.1993 0.0635 0.5000
Pd4 0.3007 0.5635 0.5000
Pd5 0.4365 0.3007 0.5000
Pd6 0.5000 0.0000 0.5000
Pd7 0.5635 0.6993 0.5000
Pd8 0.6993 0.4365 0.5000
Pd9 0.8007 0.9365 0.5000
Pd10 0.9365 0.1993 0.5000
```

Largest 12 diffraction maxima, in order of rising 2θ, 2θ = 5–70°:
- 2θ = 20.2°, intensity 27, (2 1 0)
- 2θ = 24.5°, intensity 13, (0 0 1)
- 2θ = 35.8°, intensity 17, (2 2 1)
- 2θ = 37.8°, intensity 35, (4 1 0)
- 2θ = 38.1°, intensity 100, (3 1 1)
- 2θ = 39.0°, intensity 14, (3 3 0)
- 2θ = 41.2°, intensity 13, (4 2 0)
- 2θ = 41.4°, intensity 45, (3 2 1)
- 2θ = 44.6°, intensity 13, (4 0 1)
- 2θ = 45.6°, intensity 16, (4 1 1)
- 2θ = 50.1°, intensity 26, (0 0 2)
- 2θ = 64.5°, intensity 14, (4 1 2)